Li5YAu7: theoretical powder XRD pattern (Cu Kα (λ = 1.5418 Å)), based on a DFT-relaxed cell (PBE, Alexandria).
No peak broadening, texture or thermal motion is included.

Structural model:
```
data_Li5YAu7
_cell_length_a 5.289
_cell_length_b 9.171
_cell_length_c 9.120
_cell_angle_alpha 90.00
_cell_angle_beta 90.00
_cell_angle_gamma 90.00
_symmetry_space_group_name_H-M 'I m m 2'
_symmetry_Int_Tables_number 44
loop_
_symmetry_equiv_pos_as_xyz
'x,y,z'
'-x,-y,z'
'-x,y,z'
'x,-y,z'
'x+1/2,y+1/2,z+1/2'
'-x+1/2,-y+1/2,z+1/2'
'-x+1/2,y+1/2,z+1/2'
'x+1/2,-y+1/2,z+1/2'
loop_
_atom_site_label
_atom_site_type_symbol
_atom_site_fract_x
_atom_site_fract_y
_atom_site_fract_z
Li1 Li 0.000 0.000 0.000
Li2 Li 0.247 0.247 0.521
Y1 Y 0.000 0.500 0.259
Au1 Au 0.000 0.000 0.548
Au2 Au 0.000 0.161 0.263
Au3 Au 0.000 0.208 0.779
Au4 Au 0.000 0.500 0.592
Au5 Au 0.000 0.500 0.924
```

Top 10 peaks for 2θ = 15–90°, by intensity:
d_spacing, Rel. int., h k l
2.646, 100, 2 0 0
3.234, 71, 0 2 2
2.289, 57, 1 3 2
2.048, 55, 2 2 2
2.284, 51, 0 0 4
1.323, 26, 4 0 0
1.318, 25, 1 3 6
2.636, 25, 1 0 3
2.041, 22, 1 1 4
4.560, 22, 0 0 2